Entry 1:
Calculated X-ray diffraction stick pattern
Compound: NaHoTlIn
Radiation: Cu Kα X-rays
Structure: a cell relaxed with GGA-PBE
Intensities are scaled so that the largest is 100.

Structure:
Cell lengths 3.8271, 5.2414, 5.2675 Å; angles 90.00, 90.00, 90.00 degrees
Space group Pmmm (No. 47)
Asymmetric unit:
1 Na 0.0000 0.0000 0.0000 [1 per cell]
2 Ho 0.0000 0.5000 0.5000 [1 per cell]
3 Tl 0.5000 0.5000 0.0000 [1 per cell]
4 In 0.5000 0.0000 0.5000 [1 per cell]

Top 10 peaks for 2θ from 10° to 90°, by angle:
Position (°2θ)  I_rel
16.91  27
28.84  15
33.62  100
34.04  24
34.22  24
49.04  17
60.66  18
60.88  18
70.67  12
79.42  10


Entry 2:
Calculated X-ray diffraction stick pattern
Compound: Pm2ScIn4
Radiation: Cu Kα X-rays
Structure: a cell relaxed with GGA-PBE
Intensities are scaled so that the largest is 100.

Structure:
Cell lengths 5.1558, 5.1558, 14.8298 Å; angles 90.00, 90.00, 90.00 degrees
Space group I4/mmm (No. 139)
Asymmetric unit:
1 Pm 0.0000 0.0000 0.2476 [4 per cell]
2 Sc 0.0000 0.0000 0.0000 [2 per cell]
3 In 0.0000 0.5000 0.1051 [8 per cell]

Top 10 peaks for 2θ from 10° to 90°, by angle:
Position (°2θ)  I_rel
27.26  44
34.50  100
34.80  57
36.35  12
50.04  20
51.20  18
61.63  11
62.20  35
68.28  11
89.29  12


Entry 3:
Calculated X-ray diffraction stick pattern
Compound: Li6CdAg5
Radiation: Cu Kα X-rays
Structure: a cell relaxed with GGA-PBE
Intensities are scaled so that the largest is 100.

Structure:
Cell lengths 14.2647, 6.2468, 4.5648 Å; angles 90.00, 105.69, 90.00 degrees
Space group C2/m (No. 12)
Asymmetric unit:
1 Li 0.0000 0.2392 0.0000 [4 per cell]
2 Li 0.1699 0.2447 0.6700 [8 per cell]
3 Cd 0.0000 0.5000 0.5000 [2 per cell]
4 Ag 0.0000 0.0000 0.5000 [2 per cell]
5 Ag 0.1637 0.5000 0.1625 [4 per cell]
6 Ag 0.1675 0.0000 0.1683 [4 per cell]

Top 10 peaks for 2θ from 10° to 90°, by angle:
Position (°2θ)  I_rel
26.88  79
28.33  69
28.58  68
39.36  34
39.60  100
40.68  62
49.36  28
49.51  28
55.40  12
63.51  19


Entry 4:
Calculated X-ray diffraction stick pattern
Compound: Mg3Bi4Pb2
Radiation: Cu Kα X-rays
Structure: a cell relaxed with GGA-PBE
Intensities are scaled so that the largest is 100.

Structure:
Cell lengths 7.6791, 9.2400, 8.8241 Å; angles 90.00, 116.69, 90.00 degrees
Space group P2_1/c (No. 14)
Asymmetric unit:
1 Mg 0.0000 0.0000 0.0000 [2 per cell]
2 Mg 0.1830 0.0896 0.4669 [4 per cell]
3 Bi 0.0353 0.1730 0.7177 [4 per cell]
4 Bi 0.4388 0.0189 0.2516 [4 per cell]
5 Pb 0.4041 0.7172 0.4628 [4 per cell]

Top 10 peaks for 2θ from 10° to 90°, by angle:
Position (°2θ)  I_rel
22.53  24
23.16  26
25.97  43
27.74  30
28.11  100
28.33  37
31.79  32
33.76  25
36.57  38
36.80  33


Entry 5:
Calculated X-ray diffraction stick pattern
Compound: RbScBr2F
Radiation: Cu Kα X-rays
Structure: a cell relaxed with GGA-PBE
Intensities are scaled so that the largest is 100.

Structure:
Cell lengths 5.7055, 5.7055, 4.1942 Å; angles 90.00, 90.00, 90.00 degrees
Space group P4/mmm (No. 123)
Asymmetric unit:
1 Rb 0.0000 0.0000 0.0000 [1 per cell]
2 Sc 0.5000 0.5000 0.5000 [1 per cell]
3 Br 0.0000 0.5000 0.5000 [2 per cell]
4 F 0.5000 0.5000 0.0000 [1 per cell]

Top 10 peaks for 2θ from 10° to 90°, by angle:
Position (°2θ)  I_rel
26.37  36
30.75  100
31.36  93
41.42  21
43.14  19
44.94  33
54.29  37
55.44  36
64.05  22
74.35  14